[1]
# NaHoSe2
Theoretical XRD peak list, λ = 1.5418 Å (Cu Kα). Input: the PBE geometry in the Materials Project.
Lines closer than 0.1° are merged.

Structure:
```
NaHoSe2
1.0
2.0649 1.1922 6.9832
-2.0649 1.1922 6.9832
0.0000 -2.3843 6.9832
Na Ho Se
1 1 2
Cartesian
0.0000 0.0000 0.0000
0.0000 0.0000 10.4748
0.0000 0.0000 5.0942
0.0000 0.0000 15.8554
```

Main lines, in order of rising 2θ (5 to 70 degrees two-theta):
Position (°2θ)  intensity
12.7  54
25.3  23
30.3  100
42.8  37
43.8  36
54.2  19



[2]
# HoNbO4
Theoretical XRD peak list, λ = 1.5418 Å (Cu Kα). Input: the PBE geometry in the Materials Project.
Lines closer than 0.1° are merged.

Structure:
```
HoNbO4
1.0
3.5689 -5.5373 0.0000
3.5689 5.5373 0.0000
-3.4368 0.0000 3.8205
Ho Nb O
2 2 8
Cartesian
0.9913 4.1189 2.8653
2.7097 -4.1189 0.9551
2.7097 1.2031 0.9551
0.9913 -1.2031 2.8653
1.2458 2.3351 1.2997
-0.9540 0.3599 3.0372
0.7644 -0.3599 1.1270
4.1736 2.3351 0.6105
-0.4726 -2.3351 3.2099
2.9365 0.3599 2.6935
4.6549 -0.3599 0.7833
2.4551 -2.3351 2.5208
```

Main lines, in order of rising 2θ (5 to 70 degrees two-theta):
Position (°2θ)  intensity
28.4  100
29.8  88
32.3  23
47.5  28
48.4  28
58.8  22



[3]
# Ho2ScNbO7
Theoretical XRD peak list, λ = 1.5418 Å (Cu Kα). Input: the PBE geometry in the Materials Project.
Lines closer than 0.1° are merged.

Structure:
```
Ho2ScNbO7
1.0
-3.6351 3.7124 5.2058
3.6351 -3.7124 5.2058
3.6351 3.7124 -5.2058
Ho Sc Nb O
4 2 2 14
Cartesian
0.0000 0.0000 0.0000
-1.8175 1.8562 2.6029
0.0000 3.7124 0.0000
1.8175 1.8562 2.6029
1.8175 1.8562 -2.6029
1.8175 -1.8562 2.6029
3.6351 0.0000 0.0000
0.0000 0.0000 5.2058
2.1479 -0.2205 1.3072
5.1223 -0.2205 1.3072
3.6351 -1.8562 3.6615
3.6351 1.8562 0.7946
2.1479 3.4919 -1.3072
1.4872 -0.2205 3.8987
0.0000 1.8562 1.3398
3.6351 1.8562 3.8660
2.1479 3.9329 1.3072
1.4872 0.2205 6.5130
0.0000 1.8562 4.4112
0.0000 5.5686 1.5443
-1.4872 3.9329 3.8987
1.4872 3.9329 3.8987
```

Main lines, in order of rising 2θ (5 to 70 degrees two-theta):
Position (°2θ)  intensity
14.7  31
29.6  100
30.0  100
34.5  61
49.6  65
58.6  31



[4]
# Nd3HoZr4O14
Theoretical XRD peak list, λ = 1.5418 Å (Cu Kα). Input: the PBE geometry in the Materials Project.
Lines closer than 0.1° are merged.

Structure:
```
Nd3HoZr4O14
1.0
3.7944 2.1907 6.1894
-3.7944 2.1907 6.1894
0.0000 -4.3814 6.1894
Nd Ho Zr O
3 1 4 14
Cartesian
-1.8972 -1.0954 6.1894
-1.8972 1.0954 12.3788
0.0000 2.1907 6.1894
0.0000 0.0000 9.2841
0.0000 0.0000 0.0000
-3.7944 0.0000 9.2841
-1.8972 1.0954 3.0947
1.8972 1.0954 3.0947
0.0000 -2.5256 5.1797
-2.1873 1.2628 5.1797
-2.1767 -1.2567 8.7607
0.0000 -2.5134 9.8075
-2.1767 1.2567 9.8075
-2.1873 -1.2628 13.3884
0.0000 0.0000 7.0457
0.0000 0.0000 11.5224
2.1872 1.2628 5.1797
2.1767 -1.2567 8.7607
0.0000 2.5134 8.7607
2.1767 1.2567 9.8075
2.1872 -1.2628 13.3884
0.0000 2.5256 13.3884
```

Main lines, in order of rising 2θ (5 to 70 degrees two-theta):
Position (°2θ)  intensity
28.8  100
33.4  31
36.5  6
48.0  49
56.9  43
59.7  10